No. 1
Diffraction record for TmBiAsO5. The powder X-ray diffraction pattern is computed, not measured: it uses a cell relaxed with GGA-PBE and Cu Kα, 1.54184 Å.

Unit cell a=6.6814 b=6.6814 c=7.0753 alpha=115.56 beta=115.56 gamma=47.37
Atoms (fractional coordinates):
Tm  0.1727  0.1727  0.0860
Tm  0.8273  0.8273  0.9140
Bi  0.4506  0.4506  0.7294
Bi  0.5494  0.5494  0.2706
As  0.1297  0.1297  0.6193
As  0.8703  0.8703  0.3807
O  0.1311  0.6079  0.2184
O  0.1556  0.1556  0.3888
O  0.2424  0.7576  0.0000
O  0.2937  0.2937  0.8027
O  0.3921  0.8689  0.7816
O  0.6079  0.1311  0.2184
O  0.7063  0.7063  0.1973
O  0.7576  0.2424  0.0000
O  0.8444  0.8444  0.6112
O  0.8689  0.3921  0.7816

The 6 most intense peaks (10 to 80 degrees two-theta), sorted by position:
- 27.59°, rel. 50
- 29.90°, rel. 76
- 30.71°, rel. 100
- 33.38°, rel. 44
- 46.94°, rel. 21
- 57.52°, rel. 26


No. 2
Diffraction record for GdYGe2. The powder X-ray diffraction pattern is computed, not measured: it uses a cell relaxed with GGA-PBE and Cu Kα, 1.54184 Å.

Unit cell a=9.7150 b=9.7150 c=5.4573 alpha=90.00 beta=90.00 gamma=155.87
Atoms (fractional coordinates):
Gd  0.0806  0.9194  0.7500
Gd  0.9194  0.0806  0.2500
Y  0.2971  0.7029  0.7500
Y  0.7029  0.2971  0.2500
Ge  0.3112  0.6888  0.2500
Ge  0.4592  0.5408  0.7500
Ge  0.5408  0.4592  0.2500
Ge  0.6888  0.3112  0.7500

The 6 most intense peaks (10 to 80 degrees two-theta), sorted by position:
- 30.87°, rel. 76
- 32.26°, rel. 100
- 32.82°, rel. 78
- 36.32°, rel. 58
- 46.69°, rel. 71
- 50.93°, rel. 39


No. 3
Diffraction record for LaHoZn2Pb2. The powder X-ray diffraction pattern is computed, not measured: it uses a cell relaxed with GGA-PBE and Cu Kα, 1.54184 Å.

Unit cell a=4.6269 b=4.6269 c=16.6378 alpha=90.00 beta=90.00 gamma=120.00
Atoms (fractional coordinates):
La  0.0000  0.0000  0.0000
La  0.0000  0.0000  0.5000
Ho  0.0000  0.0000  0.2500
Ho  0.0000  0.0000  0.7500
Zn  0.3333  0.6667  0.1688
Zn  0.3333  0.6667  0.3312
Zn  0.6667  0.3333  0.6688
Zn  0.6667  0.3333  0.8312
Pb  0.3333  0.6667  0.6166
Pb  0.3333  0.6667  0.8834
Pb  0.6667  0.3333  0.1166
Pb  0.6667  0.3333  0.3834

The 6 most intense peaks (10 to 80 degrees two-theta), sorted by position:
- 27.46°, rel. 41
- 30.99°, rel. 100
- 38.93°, rel. 70
- 44.31°, rel. 26
- 50.57°, rel. 26
- 65.60°, rel. 24


No. 4
Diffraction record for Ho2ErTmZn2. The powder X-ray diffraction pattern is computed, not measured: it uses a cell relaxed with GGA-PBE and Cu Kα, 1.54184 Å.

Unit cell a=5.1440 b=8.2761 c=8.2761 alpha=24.95 beta=90.00 gamma=90.00
Atoms (fractional coordinates):
Ho  0.0000  0.0000  0.0000
Ho  0.5000  0.4425  0.4425
Er  0.5000  0.1411  0.1411
Tm  0.0000  0.3014  0.3014
Zn  0.0000  0.6511  0.6511
Zn  0.5000  0.7920  0.7920

The 6 most intense peaks (10 to 80 degrees two-theta), sorted by position:
- 28.08°, rel. 17
- 33.26°, rel. 15
- 34.82°, rel. 100
- 48.97°, rel. 10
- 62.50°, rel. 14
- 63.35°, rel. 8


No. 5
Diffraction record for Cs4CdSb2Cl12. The powder X-ray diffraction pattern is computed, not measured: it uses a cell relaxed with GGA-PBE and Cu Kα, 1.54184 Å.

Unit cell a=13.1318 b=13.1318 c=13.1318 alpha=33.81 beta=33.81 gamma=33.81
Atoms (fractional coordinates):
Cs  0.1236  0.1236  0.1236
Cs  0.3741  0.3741  0.3741
Cs  0.6259  0.6259  0.6259
Cs  0.8764  0.8764  0.8764
Cd  0.0000  0.0000  0.0000
Sb  0.2457  0.2457  0.2457
Sb  0.7543  0.7543  0.7543
Cl  0.1078  0.6339  0.6339
Cl  0.1213  0.1213  0.6337
Cl  0.1213  0.6337  0.1213
Cl  0.3661  0.3661  0.8922
Cl  0.3663  0.8787  0.8787
Cl  0.3661  0.8922  0.3661
Cl  0.6339  0.1078  0.6339
Cl  0.6337  0.1213  0.1213
Cl  0.6339  0.6339  0.1078
Cl  0.8787  0.3663  0.8787
Cl  0.8787  0.8787  0.3663
Cl  0.8922  0.3661  0.3661

The 6 most intense peaks (10 to 80 degrees two-theta), sorted by position:
- 23.29°, rel. 79
- 23.42°, rel. 76
- 33.27°, rel. 100
- 40.99°, rel. 53
- 47.63°, rel. 34
- 47.91°, rel. 33


No. 6
Diffraction record for Ba3Cd2Bi2As2. The powder X-ray diffraction pattern is computed, not measured: it uses a cell relaxed with GGA-PBE and Cu Kα, 1.54184 Å.

Unit cell a=9.4336 b=9.4336 c=7.4825 alpha=112.32 beta=112.32 gamma=29.89
Atoms (fractional coordinates):
Ba  0.0000  0.0000  0.0000
Ba  0.1285  0.1285  0.5939
Ba  0.8715  0.8715  0.4061
Cd  0.3362  0.3362  0.0309
Cd  0.6638  0.6638  0.9691
Bi  0.2099  0.2099  0.2176
Bi  0.7901  0.7901  0.7824
As  0.4953  0.4953  0.3255
As  0.5047  0.5047  0.6745

The 6 most intense peaks (10 to 80 degrees two-theta), sorted by position:
- 23.79°, rel. 30
- 24.20°, rel. 45
- 29.40°, rel. 40
- 30.42°, rel. 100
- 30.71°, rel. 85
- 36.94°, rel. 51


No. 7
Diffraction record for Gd4NiAu3. The powder X-ray diffraction pattern is computed, not measured: it uses a cell relaxed with GGA-PBE and Cu Kα, 1.54184 Å.

Unit cell a=5.6272 b=4.6454 c=7.2615 alpha=90.00 beta=91.09 gamma=90.00
Atoms (fractional coordinates):
Gd  0.0000  0.0000  0.0000
Gd  0.2080  0.0000  0.5181
Gd  0.4921  0.5000  0.1315
Gd  0.7218  0.5000  0.6464
Ni  0.2136  0.5000  0.7868
Au  0.0055  0.5000  0.2800
Au  0.4943  0.0000  0.8612
Au  0.6979  0.0000  0.3646

The 6 most intense peaks (10 to 80 degrees two-theta), sorted by position:
- 31.27°, rel. 100
- 34.98°, rel. 92
- 35.42°, rel. 62
- 38.77°, rel. 76
- 39.25°, rel. 59
- 39.65°, rel. 69


No. 8
Diffraction record for Nd2ErCu4Sn2Ge2. The powder X-ray diffraction pattern is computed, not measured: it uses a cell relaxed with GGA-PBE and Cu Kα, 1.54184 Å.

Unit cell a=8.3645 b=8.3645 c=8.3645 alpha=149.07 beta=132.75 gamma=57.55
Atoms (fractional coordinates):
Nd  0.1275  0.1275  0.0000
Nd  0.8725  0.8725  0.0000
Er  0.5000  0.0000  0.5000
Cu  0.1541  0.3410  0.8131
Cu  0.4721  0.6590  0.8131
Cu  0.5279  0.3410  0.1869
Cu  0.8459  0.6590  0.1869
Sn  0.2847  0.7847  0.5000
Sn  0.7153  0.2153  0.5000
Ge  0.1942  0.5000  0.6942
Ge  0.8058  0.5000  0.3058

The 6 most intense peaks (10 to 80 degrees two-theta), sorted by position:
- 33.35°, rel. 30
- 34.01°, rel. 79
- 34.37°, rel. 100
- 40.44°, rel. 38
- 44.58°, rel. 17
- 53.39°, rel. 16


No. 9
Diffraction record for Sc4ZnC3. The powder X-ray diffraction pattern is computed, not measured: it uses a cell relaxed with GGA-PBE and Cu Kα, 1.54184 Å.

Unit cell a=3.3472 b=3.3472 c=25.1195 alpha=90.00 beta=90.00 gamma=120.00
Atoms (fractional coordinates):
Sc  0.0000  0.0000  0.1534
Sc  0.0000  0.0000  0.3466
Sc  0.0000  0.0000  0.6534
Sc  0.0000  0.0000  0.8466
Sc  0.3333  0.6667  0.0531
Sc  0.3333  0.6667  0.4469
Sc  0.6667  0.3333  0.5531
Sc  0.6667  0.3333  0.9469
Zn  0.3333  0.6667  0.2500
Zn  0.6667  0.3333  0.7500
C  0.0000  0.0000  0.0000
C  0.0000  0.0000  0.5000
C  0.3333  0.6667  0.6131
C  0.3333  0.6667  0.8869
C  0.6667  0.3333  0.1131
C  0.6667  0.3333  0.3869

The 6 most intense peaks (10 to 80 degrees two-theta), sorted by position:
- 31.06°, rel. 28
- 34.07°, rel. 33
- 35.76°, rel. 100
- 37.75°, rel. 63
- 54.86°, rel. 34
- 67.22°, rel. 33


No. 10
Diffraction record for Zn3S2O9. The powder X-ray diffraction pattern is computed, not measured: it uses a cell relaxed with GGA-PBE and Cu Kα, 1.54184 Å.

Unit cell a=7.3183 b=6.6151 c=7.8690 alpha=90.00 beta=117.51 gamma=90.00
Atoms (fractional coordinates):
Zn  0.0000  0.0000  0.0000
Zn  0.0000  0.5000  0.0000
Zn  0.1778  0.2500  0.7822
Zn  0.3749  0.2500  0.2669
Zn  0.6251  0.7500  0.7331
Zn  0.8222  0.7500  0.2178
S  0.1497  0.7500  0.6969
S  0.4417  0.7500  0.2856
S  0.5583  0.2500  0.7144
S  0.8503  0.2500  0.3031
O  0.0220  0.7500  0.4897
O  0.1064  0.5685  0.7850
O  0.1064  0.9315  0.7850
O  0.1356  0.2500  0.0118
O  0.3080  0.5698  0.2540
O  0.3080  0.9302  0.2540
O  0.3679  0.7500  0.7422
O  0.3839  0.2500  0.5192
O  0.4722  0.2500  0.8517
O  0.5278  0.7500  0.1483
O  0.6161  0.7500  0.4808
O  0.6321  0.2500  0.2579
O  0.6920  0.0698  0.7460
O  0.6920  0.4302  0.7460
O  0.8644  0.7500  0.9882
O  0.8936  0.0685  0.2150
O  0.8936  0.4315  0.2150
O  0.9780  0.2500  0.5103

The 6 most intense peaks (10 to 80 degrees two-theta), sorted by position:
- 22.64°, rel. 83
- 24.33°, rel. 78
- 26.96°, rel. 79
- 30.34°, rel. 100
- 36.62°, rel. 94
- 37.46°, rel. 82


No. 11
Diffraction record for YHoGa2Cu4. The powder X-ray diffraction pattern is computed, not measured: it uses a cell relaxed with GGA-PBE and Cu Kα, 1.54184 Å.

Unit cell a=4.2631 b=4.2631 c=8.6870 alpha=90.00 beta=90.00 gamma=120.00
Atoms (fractional coordinates):
Y  0.0000  0.0000  0.0000
Ho  0.6667  0.3333  0.5000
Ga  0.3333  0.6667  0.2499
Ga  0.3333  0.6667  0.7501
Cu  0.0000  0.0000  0.3312
Cu  0.0000  0.0000  0.6688
Cu  0.6667  0.3333  0.1754
Cu  0.6667  0.3333  0.8246

The 6 most intense peaks (10 to 80 degrees two-theta), sorted by position:
- 26.23°, rel. 18
- 31.81°, rel. 36
- 39.55°, rel. 100
- 42.41°, rel. 89
- 59.37°, rel. 29
- 75.65°, rel. 27


No. 12
Diffraction record for Dy2Tm3Lu2Ni2Te2. The powder X-ray diffraction pattern is computed, not measured: it uses a cell relaxed with GGA-PBE and Cu Kα, 1.54184 Å.

Unit cell a=9.2711 b=9.2711 c=9.2711 alpha=156.12 beta=67.12 gamma=118.32
Atoms (fractional coordinates):
Dy  0.1854  0.0000  0.1854
Dy  0.8146  0.0000  0.8146
Tm  0.1241  0.6241  0.5000
Tm  0.5712  0.2055  0.3657
Tm  0.8398  0.2055  0.6343
Lu  0.2062  0.3524  0.8538
Lu  0.4986  0.3524  0.1462
Ni  0.4291  0.6930  0.7361
Ni  0.9570  0.6930  0.2639
Te  0.4622  0.9622  0.5000
Te  0.8564  0.8564  0.0000

The 6 most intense peaks (10 to 80 degrees two-theta), sorted by position:
- 30.48°, rel. 73
- 33.20°, rel. 79
- 34.27°, rel. 100
- 34.73°, rel. 49
- 47.39°, rel. 29
- 59.09°, rel. 31